1.
Diffraction record for Ac2Nd5Er2. The powder diffraction line list is computed, not measured: it uses DFT lattice parameters and positions (GGA-PBE) and Cu Kα.
Lines closer than 0.1° are merged.

Atomic structure:
a b c (Å): 9.072 3.687 10.111
angles (deg): 90.00 103.29 90.00
Space group P2/m (No. 10)
Inequivalent atoms, fractional coordinates:
Ac (0.023, 0.000, 0.186) (multiplicity 2)
Nd (0.000, 0.500, 0.500) (multiplicity 1)
Nd (0.325, 0.500, 0.043) (multiplicity 2)
Nd (0.358, 0.000, 0.707) (multiplicity 2)
Er (0.339, 0.500, 0.391) (multiplicity 2)

Top 8 peaks for 15 to 90 degrees two-theta, most intense first:
| d/Å | Position (°2θ) | I/Imax | index |
| --- | --- | --- | --- |
| 2.947 | 30.33 | 100.0 | 3 0 0 |
| 2.832 | 31.59 | 58.4 | 2 1 -1 |
| 2.981 | 29.97 | 52.7 | 2 0 -3 |
| 2.867 | 31.20 | 46.4 | 1 0 3 |
| 3.131 | 28.51 | 33.4 | 1 1 1 |
| 1.953 | 46.49 | 22.4 | 3 1 2 |
| 1.551 | 59.62 | 16.3 | 1 2 3 |
| 1.568 | 58.91 | 16.1 | 2 2 -3 |

2.
Diffraction record for TbDy5YSc2. The powder diffraction line list is computed, not measured: it uses DFT lattice parameters and positions (GGA-PBE) and Cu Kα.
Lines closer than 0.1° are merged.

Atomic structure:
a b c (Å): 5.581 21.436 9.311
angles (deg): 90.00 90.00 90.00
Space group Cmc2_1 (No. 36)
Inequivalent atoms, fractional coordinates:
Tb (0.000, 0.186, 0.000) (multiplicity 4)
Dy (0.000, 0.010, 0.997) (multiplicity 4)
Dy (0.000, 0.265, 0.316) (multiplicity 4)
Dy (0.000, 0.307, 0.702) (multiplicity 4)
Dy (0.000, 0.392, 0.028) (multiplicity 4)
Dy (0.000, 0.468, 0.731) (multiplicity 4)
Y (0.000, 0.402, 0.402) (multiplicity 4)
Sc (0.000, 0.113, 0.306) (multiplicity 4)
Sc (0.000, 0.138, 0.680) (multiplicity 4)

Top 8 peaks for 15 to 90 degrees two-theta, most intense first:
| d/Å | Position (°2θ) | I/Imax | index |
| --- | --- | --- | --- |
| 2.746 | 32.61 | 100.0 | 1 5 2 |
| 2.690 | 33.31 | 70.8 | 1 1 3 |
| 2.791 | 32.07 | 56.2 | 2 0 0 |
| 2.579 | 34.78 | 42.8 | 1 7 1 |
| 3.336 | 26.73 | 27.8 | 0 6 1 |
| 3.524 | 25.28 | 24.9 | 1 1 2 |
| 2.141 | 42.21 | 20.3 | 2 6 1 |
| 1.602 | 57.51 | 19.7 | 3 5 2 |

3.
Diffraction record for Ti4Fe3Ir. The powder diffraction line list is computed, not measured: it uses DFT lattice parameters and positions (GGA-PBE) and Cu Kα.
Lines closer than 0.1° are merged.

Atomic structure:
a b c (Å): 2.985 2.985 12.125
angles (deg): 90.00 90.00 90.00
Space group P4/mmm (No. 123)
Inequivalent atoms, fractional coordinates:
Ti (0.000, 0.000, 0.121) (multiplicity 2)
Ti (0.000, 0.000, 0.362) (multiplicity 2)
Fe (0.500, 0.500, 0.000) (multiplicity 1)
Fe (0.500, 0.500, 0.246) (multiplicity 2)
Ir (0.500, 0.500, 0.500) (multiplicity 1)

Top 8 peaks for 15 to 90 degrees two-theta, most intense first:
| d/Å | Position (°2θ) | I/Imax | index |
| --- | --- | --- | --- |
| 2.127 | 42.51 | 100.0 | 1 0 4 |
| 2.110 | 42.85 | 49.9 | 1 1 0 |
| 1.222 | 78.26 | 30.1 | 2 1 4 |
| 1.492 | 62.21 | 15.5 | 2 0 0 |
| 1.231 | 77.55 | 14.5 | 1 1 8 |
| 2.898 | 30.85 | 14.3 | 1 0 1 |
| 2.985 | 29.94 | 13.4 | 1 0 0 |
| 2.678 | 33.47 | 12.8 | 1 0 2 |

4.
Diffraction record for CaPrPd3. The powder diffraction line list is computed, not measured: it uses DFT lattice parameters and positions (GGA-PBE) and Cu Kα.
Lines closer than 0.1° are merged.

Atomic structure:
a b c (Å): 6.947 7.847 8.102
angles (deg): 90.00 90.00 90.00
Space group Pnnm (No. 58)
Inequivalent atoms, fractional coordinates:
Ca (0.209, 0.135, 0.000) (multiplicity 4)
Pr (0.219, 0.142, 0.500) (multiplicity 4)
Pd (0.000, 0.500, 0.252) (multiplicity 4)
Pd (0.119, 0.857, 0.256) (multiplicity 8)

Top 8 peaks for 15 to 90 degrees two-theta, most intense first:
| d/Å | Position (°2θ) | I/Imax | index |
| --- | --- | --- | --- |
| 2.612 | 34.34 | 100.0 | 1 2 2 |
| 2.499 | 35.93 | 44.0 | 2 1 2 |
| 2.637 | 34.00 | 42.5 | 2 0 2 |
| 2.448 | 36.71 | 32.9 | 1 3 0 |
| 2.025 | 44.75 | 32.8 | 0 0 4 |
| 2.095 | 43.18 | 24.2 | 1 3 2 |
| 1.994 | 45.48 | 21.0 | 3 2 0 |
| 2.221 | 40.62 | 20.9 | 3 1 0 |